Tb2Al6Si4Pt: simulated powder diffraction line list (λ = 1.5418 Å (Cu Kα)), based on the GGA-PBE geometry in Alexandria.
Peak positions follow from Bragg's law for the DFT cell and can differ from measured ones.

Largest 10 diffraction maxima, in order of rising 2θ, 15 to 90 degrees two-theta:
15.8 deg, I = 559, hkl 0 0 9
24.8 deg, I = 404, hkl 0 1 2
26.1 deg, I = 312, hkl 0 1 5
27.6 deg, I = 1000, hkl 1 0 7
35.1 deg, I = 275, hkl 0 1 14
37.8 deg, I = 580, hkl 1 0 16
43.3 deg, I = 600, hkl 1 1 0
46.3 deg, I = 233, hkl 1 1 9
48.5 deg, I = 249, hkl 0 1 23
58.5 deg, I = 183, hkl 1 1 21

Atomic structure:
```
data_Tb2Al6Si4Pt
_chemical_formula_sum 'Tb6 Al18 Si12 Pt3'
_cell_length_a 4.1830
_cell_length_b 4.1830
_cell_length_c 50.4883
_cell_angle_alpha 90.00
_cell_angle_beta 90.00
_cell_angle_gamma 120.00
_symmetry_space_group_name_H-M 'R -3 m'
_symmetry_Int_Tables_number 166
_symmetry_space_group_name_Hall '-R 3 2"'
loop_
_atom_site_label
_atom_site_fract_x
_atom_site_fract_y
_atom_site_fract_z
Tb1 0.0000 0.0000 0.0658
Al1 0.0000 0.0000 0.1822
Al2 0.0000 0.0000 0.3147
Al3 0.0000 0.0000 0.4493
Si1 0.0000 0.0000 0.2340
Si2 0.0000 0.0000 0.3646
Pt1 0.0000 0.0000 0.5000
```

---

Sm2Al6Pt9: simulated powder diffraction line list (λ = 1.5418 Å (Cu Kα)), based on the GGA-PBE geometry in Alexandria.
Peak positions follow from Bragg's law for the DFT cell and can differ from measured ones.

Largest 10 diffraction maxima, in order of rising 2θ, 15 to 90 degrees two-theta:
18.3 deg, I = 198, hkl 1 0 0
22.6 deg, I = 522, hkl 0 0 3
29.2 deg, I = 556, hkl 1 0 3
37.1 deg, I = 1000, hkl 2 0 0
39.5 deg, I = 439, hkl 1 1 3
43.8 deg, I = 799, hkl 2 0 3
46.0 deg, I = 196, hkl 0 0 6
60.5 deg, I = 411, hkl 2 0 6
66.8 deg, I = 230, hkl 2 2 0
85.0 deg, I = 208, hkl 2 2 6

Atomic structure:
```
data_Sm2Al6Pt9
_chemical_formula_sum 'Sm2 Al6 Pt9'
_cell_length_a 5.6005
_cell_length_b 5.6005
_cell_length_c 11.8284
_cell_angle_alpha 90.00
_cell_angle_beta 90.00
_cell_angle_gamma 120.00
_symmetry_space_group_name_H-M 'P 6/m m m'
_symmetry_Int_Tables_number 191
_symmetry_space_group_name_Hall '-P 6 2'
loop_
_atom_site_label
_atom_site_fract_x
_atom_site_fract_y
_atom_site_fract_z
Sm1 0.0000 0.0000 0.1955
Al1 0.3333 0.6667 0.1641
Al2 0.3333 0.6667 0.5000
Pt1 0.0000 0.5000 0.0000
Pt2 0.0000 0.5000 0.3305
```

---

Sm3AlPt8: simulated powder diffraction line list (λ = 1.5418 Å (Cu Kα)), based on the GGA-PBE geometry in Alexandria.
Peak positions follow from Bragg's law for the DFT cell and can differ from measured ones.

Largest 10 diffraction maxima, in order of rising 2θ, 15 to 90 degrees two-theta:
19.9 deg, I = 395, hkl 0 0 6
32.8 deg, I = 179, hkl 1 1 0
38.6 deg, I = 1000, hkl 2 0 2
38.7 deg, I = 320, hkl 1 0 10
40.4 deg, I = 608, hkl 0 2 4
40.6 deg, I = 184, hkl 0 0 12
47.1 deg, I = 208, hkl 2 0 8
62.5 deg, I = 322, hkl 3 0 6
68.7 deg, I = 217, hkl 2 2 0
68.9 deg, I = 173, hkl 0 2 16

Atomic structure:
```
data_Sm3AlPt8
_chemical_formula_sum 'Sm9 Al3 Pt24'
_cell_length_a 5.4678
_cell_length_b 5.4678
_cell_length_c 26.6748
_cell_angle_alpha 90.00
_cell_angle_beta 90.00
_cell_angle_gamma 120.00
_symmetry_space_group_name_H-M 'R 3 m'
_symmetry_Int_Tables_number 160
_symmetry_space_group_name_Hall 'R 3 -2"'
loop_
_atom_site_label
_atom_site_fract_x
_atom_site_fract_y
_atom_site_fract_z
Sm1 0.0000 0.0000 0.0000
Sm2 0.0000 0.0000 0.1305
Sm3 0.0000 0.0000 0.5206
Al1 0.0000 0.0000 0.6580
Pt1 0.0000 0.0000 0.3181
Pt2 0.0000 0.0000 0.8193
Pt3 0.0030 0.5015 0.0697
Pt4 0.1679 0.3358 0.9021
```

---

SmAl3Pt3: simulated powder diffraction line list (λ = 1.5418 Å (Cu Kα)), based on the GGA-PBE geometry in Alexandria.
Peak positions follow from Bragg's law for the DFT cell and can differ from measured ones.

Largest 10 diffraction maxima, in order of rising 2θ, 15 to 90 degrees two-theta:
26.3 deg, I = 424, hkl 2 0 0
29.5 deg, I = 1000, hkl 2 1 0
32.4 deg, I = 994, hkl 2 1 1
46.4 deg, I = 232, hkl 2 2 2
48.4 deg, I = 263, hkl 3 2 0
50.4 deg, I = 578, hkl 3 2 1
54.1 deg, I = 280, hkl 4 0 0
62.8 deg, I = 244, hkl 4 2 1
75.6 deg, I = 217, hkl 5 2 0
80.1 deg, I = 181, hkl 4 4 0

Atomic structure:
```
data_SmAl3Pt3
_chemical_formula_sum 'Sm2 Al6 Pt6'
_cell_length_a 6.7767
_cell_length_b 6.7767
_cell_length_c 6.7767
_cell_angle_alpha 90.00
_cell_angle_beta 90.00
_cell_angle_gamma 90.00
_symmetry_space_group_name_H-M 'P m -3 n'
_symmetry_Int_Tables_number 223
_symmetry_space_group_name_Hall '-P 4n 2 3'
loop_
_atom_site_label
_atom_site_fract_x
_atom_site_fract_y
_atom_site_fract_z
Sm1 0.0000 0.0000 0.0000
Al1 0.0000 0.2500 0.5000
Pt1 0.0000 0.5000 0.2500
```

---

SmAl4Pt8: simulated powder diffraction line list (λ = 1.5418 Å (Cu Kα)), based on the GGA-PBE geometry in Alexandria.
Peak positions follow from Bragg's law for the DFT cell and can differ from measured ones.

Largest 10 diffraction maxima, in order of rising 2θ, 15 to 90 degrees two-theta:
28.6 deg, I = 582, hkl 2 2 0
33.0 deg, I = 693, hkl 0 0 2
34.7 deg, I = 483, hkl 3 0 1
40.5 deg, I = 1000, hkl 3 2 1
40.9 deg, I = 408, hkl 4 0 0
44.3 deg, I = 574, hkl 2 2 2
45.6 deg, I = 350, hkl 4 1 1
53.6 deg, I = 250, hkl 4 0 2
64.0 deg, I = 262, hkl 3 2 3
74.2 deg, I = 388, hkl 6 3 1

Atomic structure:
```
data_SmAl4Pt8
_chemical_formula_sum 'Sm2 Al8 Pt16'
_cell_length_a 8.8198
_cell_length_b 8.8198
_cell_length_c 5.4242
_cell_angle_alpha 90.00
_cell_angle_beta 90.00
_cell_angle_gamma 90.00
_symmetry_space_group_name_H-M 'I 4/m m m'
_symmetry_Int_Tables_number 139
_symmetry_space_group_name_Hall '-I 4 2'
loop_
_atom_site_label
_atom_site_fract_x
_atom_site_fract_y
_atom_site_fract_z
Sm1 0.0000 0.0000 0.0000
Al1 0.2500 0.2500 0.2500
Pt1 0.0000 0.2259 0.5000
Pt2 0.0000 0.3340 0.0000
```

---

Sm2AlZnPt2: simulated powder diffraction line list (λ = 1.5418 Å (Cu Kα)), based on the GGA-PBE geometry in Alexandria.
Peak positions follow from Bragg's law for the DFT cell and can differ from measured ones.

Largest 10 diffraction maxima, in order of rising 2θ, 15 to 90 degrees two-theta:
25.3 deg, I = 347, hkl 0 4 0
29.9 deg, I = 1000, hkl 0 0 2
33.1 deg, I = 641, hkl 1 4 1
39.5 deg, I = 974, hkl 0 4 2
42.8 deg, I = 675, hkl 2 0 2
44.1 deg, I = 333, hkl 1 6 1
55.1 deg, I = 292, hkl 1 4 3
62.1 deg, I = 217, hkl 0 0 4
63.1 deg, I = 224, hkl 1 6 3
76.1 deg, I = 270, hkl 2 4 4

Atomic structure:
```
data_Sm2AlZnPt2
_chemical_formula_sum 'Sm8 Al4 Zn4 Pt8'
_cell_length_a 5.9848
_cell_length_b 14.0770
_cell_length_c 5.9798
_cell_angle_alpha 90.00
_cell_angle_beta 90.00
_cell_angle_gamma 90.00
_symmetry_space_group_name_H-M 'I b a m'
_symmetry_Int_Tables_number 72
_symmetry_space_group_name_Hall '-I 2 2c'
loop_
_atom_site_label
_atom_site_fract_x
_atom_site_fract_y
_atom_site_fract_z
Sm1 0.2348 0.1709 0.0000
Al1 0.0000 0.5000 0.2500
Zn1 0.0000 0.0000 0.2500
Pt1 0.2346 0.3856 0.0000
```

---

Repeat the sixth record exactly.
Sm2AlZnPt2: simulated powder diffraction line list (λ = 1.5418 Å (Cu Kα)), based on the GGA-PBE geometry in Alexandria.
Peak positions follow from Bragg's law for the DFT cell and can differ from measured ones.

Largest 10 diffraction maxima, in order of rising 2θ, 15 to 90 degrees two-theta:
25.3 deg, I = 347, hkl 0 4 0
29.9 deg, I = 1000, hkl 0 0 2
33.1 deg, I = 641, hkl 1 4 1
39.5 deg, I = 974, hkl 0 4 2
42.8 deg, I = 675, hkl 2 0 2
44.1 deg, I = 333, hkl 1 6 1
55.1 deg, I = 292, hkl 1 4 3
62.1 deg, I = 217, hkl 0 0 4
63.1 deg, I = 224, hkl 1 6 3
76.1 deg, I = 270, hkl 2 4 4

Atomic structure:
```
data_Sm2AlZnPt2
_chemical_formula_sum 'Sm8 Al4 Zn4 Pt8'
_cell_length_a 5.9848
_cell_length_b 14.0770
_cell_length_c 5.9798
_cell_angle_alpha 90.00
_cell_angle_beta 90.00
_cell_angle_gamma 90.00
_symmetry_space_group_name_H-M 'I b a m'
_symmetry_Int_Tables_number 72
_symmetry_space_group_name_Hall '-I 2 2c'
loop_
_atom_site_label
_atom_site_fract_x
_atom_site_fract_y
_atom_site_fract_z
Sm1 0.2348 0.1709 0.0000
Al1 0.0000 0.5000 0.2500
Zn1 0.0000 0.0000 0.2500
Pt1 0.2346 0.3856 0.0000
```